No. 1
For Y12Si5S28, the GGA-PBE geometry in the Materials Project gives the calculated powder X-ray diffraction pattern in this record (Cu Kα, 1.54184 Å).

Structure:
abc: 9.8259 11.3594 11.3672
angles: 60.58 64.41 64.38
Sites, in units of the cell vectors:
Y1 0.0000 0.0000 0.0000
Y2 0.0019 0.5148 0.4654
Y3 0.0897 0.2327 0.1817
Y4 0.1032 0.6968 0.6985
Y5 0.2149 0.5730 0.0636
Y6 0.2373 0.0826 0.5422
Y7 0.5052 0.9507 0.9486
Y8 0.5201 0.4705 0.4211
Y9 0.6442 0.3367 0.7937
Y10 0.6503 0.8071 0.3014
Y11 0.7324 0.0378 0.4988
Y12 0.7424 0.5274 0.0169
Si1 0.2040 0.3476 0.7415
Si2 0.2046 0.8533 0.2488
Si3 0.5373 0.2710 0.1574
Si4 0.5367 0.7709 0.6597
Si5 0.8716 0.9920 0.7710
S1 0.0091 0.9892 0.5480
S2 0.0364 0.5027 0.9950
S3 0.1067 0.8403 0.8372
S4 0.1286 0.3298 0.3347
S5 0.2031 0.6674 0.4307
S6 0.2038 0.1653 0.9291
S7 0.2829 0.8122 0.0607
S8 0.2918 0.3102 0.5524
S9 0.3407 0.9752 0.2190
S10 0.3574 0.4582 0.7048
S11 0.3908 0.8026 0.5452
S12 0.3971 0.3029 0.0382
S13 0.4505 0.4587 0.1987
S14 0.4526 0.9610 0.6980
S15 0.5300 0.5935 0.8509
S16 0.5447 0.0787 0.3358
S17 0.6068 0.6828 0.1779
S18 0.6451 0.1476 0.7044
S19 0.7095 0.5085 0.5131
S20 0.7207 0.0012 0.9982
S21 0.7651 0.7740 0.5156
S22 0.7660 0.2739 0.0107
S23 0.7720 0.2995 0.3034
S24 0.7842 0.8076 0.8052
S25 0.9594 0.1732 0.7290
S26 0.9650 0.7164 0.2131
S27 0.9743 0.4912 0.7359
S28 0.9784 0.0043 0.2500

Largest 12 diffraction maxima, by angle, 10° ≤ 2θ ≤ 90°:
- 4.752 Å, I = 29.9
- 4.251 Å, I = 42.3
- 3.728 Å, I = 33.9
- 3.414 Å, I = 100.0
- 2.803 Å, I = 30.7
- 2.540 Å, I = 40.1
- 2.475 Å, I = 25.4
- 2.454 Å, I = 51.0
- 2.376 Å, I = 51.3
- 2.358 Å, I = 51.2
- 2.181 Å, I = 50.3
- 2.139 Å, I = 38.3



No. 2
For Ba4AgAuO6, the GGA-PBE geometry in the Materials Project gives the calculated powder X-ray diffraction pattern in this record (Cu Kα, 1.54184 Å).

Structure:
abc: 7.3245 7.3245 11.6317
angles: 90.00 90.00 47.50
Sites, in units of the cell vectors:
Ba1 0.1462 0.1462 0.0000
Ba2 0.1462 0.1462 0.5000
Ba3 0.2872 0.4214 0.7500
Ba4 0.4214 0.2872 0.2500
Ba5 0.5786 0.7128 0.7500
Ba6 0.7128 0.5786 0.2500
Ba7 0.8538 0.8538 0.0000
Ba8 0.8538 0.8538 0.5000
Ag1 0.0969 0.9031 0.2500
Ag2 0.9031 0.0969 0.7500
Au1 0.5000 0.5000 0.0000
Au2 0.5000 0.5000 0.5000
O1 0.0593 0.2607 0.7500
O2 0.2296 0.7704 0.6090
O3 0.2296 0.7704 0.8910
O4 0.2607 0.0593 0.2500
O5 0.3453 0.3453 0.0000
O6 0.3453 0.3453 0.5000
O7 0.6547 0.6547 0.0000
O8 0.6547 0.6547 0.5000
O9 0.7393 0.9407 0.7500
O10 0.7704 0.2296 0.1090
O11 0.7704 0.2296 0.3910
O12 0.9407 0.7393 0.2500

Largest 12 diffraction maxima, by angle, 10° ≤ 2θ ≤ 90°:
- 6.704 Å, I = 10.6
- 3.038 Å, I = 100.0
- 2.950 Å, I = 22.7
- 2.908 Å, I = 36.2
- 2.859 Å, I = 9.6
- 2.251 Å, I = 13.6
- 2.235 Å, I = 13.3
- 2.071 Å, I = 19.7
- 1.780 Å, I = 11.5
- 1.772 Å, I = 10.9
- 1.703 Å, I = 21.1
- 1.519 Å, I = 13.0



No. 3
For Tm2IrPd, the GGA-PBE geometry in the Materials Project gives the calculated powder X-ray diffraction pattern in this record (Cu Kα, 1.54184 Å).

Structure:
abc: 4.8393 4.8393 4.8393
angles: 60.00 60.00 60.00
Sites, in units of the cell vectors:
Tm1 0.2500 0.2500 0.2500
Tm2 0.7500 0.7500 0.7500
Ir1 0.0000 0.0000 0.0000
Pd1 0.5000 0.5000 0.5000

Largest 9 diffraction maxima, by angle, 10° ≤ 2θ ≤ 90°:
- 3.951 Å, I = 3.7
- 2.420 Å, I = 100.0
- 2.063 Å, I = 2.1
- 1.711 Å, I = 17.6
- 1.570 Å, I = 0.9
- 1.397 Å, I = 35.9
- 1.317 Å, I = 0.7
- 1.210 Å, I = 11.3
- 1.157 Å, I = 0.7